# 1
Diffraction record for In8Ni3Pd2. The XRD peak list is calculated, not measured: it uses a DFT-relaxed cell (GGA-PBE, Alexandria) and Cu Kα X-rays.
Kinematic intensities with the Lorentz-polarization factor, no thermal factor.

Cell and atoms:
a b c (Å): 7.776 4.524 7.810
angles (deg): 90.00 109.73 90.00
Fractional coordinates of all 13 atoms:
1 In 0.120 0.000 0.380
2 In 0.123 0.500 0.866
3 In 0.364 0.500 0.623
4 In 0.376 0.000 0.123
5 In 0.624 0.000 0.877
6 In 0.636 0.500 0.377
7 In 0.877 0.500 0.134
8 In 0.880 0.000 0.620
9 Ni 0.253 0.000 0.754
10 Ni 0.500 0.500 0.000
11 Ni 0.747 0.000 0.246
12 Pd 0.253 0.500 0.248
13 Pd 0.747 0.500 0.752

Main lines, by angle (15 to 90 degrees two-theta):
- 24.15°, intensity 25
- 28.01°, intensity 59
- 39.85°, intensity 51
- 39.95°, intensity 100
- 40.09°, intensity 99
- 40.21°, intensity 49
- 57.89°, intensity 48
- 72.47°, intensity 32
- 72.59°, intensity 24
- 73.07°, intensity 23



# 2
Diffraction record for In3NiPd6. The XRD peak list is calculated, not measured: it uses a DFT-relaxed cell (GGA-PBE, Alexandria) and Cu Kα X-rays.
Kinematic intensities with the Lorentz-polarization factor, no thermal factor.

Cell and atoms:
a b c (Å): 7.594 4.674 9.985
angles (deg): 90.00 111.56 90.00
Fractional coordinates of all 20 atoms:
1 In 0.073 0.250 0.229
2 In 0.299 0.250 0.015
3 In 0.330 0.750 0.387
4 In 0.670 0.250 0.613
5 In 0.701 0.750 0.985
6 In 0.927 0.750 0.771
7 Ni 0.109 0.750 0.568
8 Ni 0.891 0.250 0.432
9 Pd 0.079 0.250 0.710
10 Pd 0.106 0.750 0.077
11 Pd 0.271 0.250 0.524
12 Pd 0.304 0.750 0.859
13 Pd 0.484 0.250 0.322
14 Pd 0.493 0.250 0.827
15 Pd 0.507 0.750 0.173
16 Pd 0.516 0.750 0.678
17 Pd 0.696 0.250 0.141
18 Pd 0.729 0.750 0.476
19 Pd 0.894 0.250 0.923
20 Pd 0.921 0.750 0.290

Main lines, by angle (15 to 90 degrees two-theta):
- 37.23°, intensity 42
- 38.52°, intensity 71
- 40.89°, intensity 100
- 41.02°, intensity 99
- 42.11°, intensity 46
- 54.64°, intensity 27
- 71.34°, intensity 37
- 79.24°, intensity 18
- 79.51°, intensity 17
- 82.52°, intensity 20



# 3
Diffraction record for PmInNi2. The XRD peak list is calculated, not measured: it uses a DFT-relaxed cell (GGA-PBE, Alexandria) and Cu Kα X-rays.
Kinematic intensities with the Lorentz-polarization factor, no thermal factor.

Cell and atoms:
a b c (Å): 5.183 4.068 7.126
angles (deg): 90.00 90.00 90.00
Fractional coordinates of all 8 atoms:
1 Pm 0.250 0.000 0.228
2 Pm 0.750 0.000 0.772
3 In 0.250 0.500 0.847
4 In 0.750 0.500 0.153
5 Ni 0.000 0.500 0.500
6 Ni 0.250 0.000 0.608
7 Ni 0.500 0.500 0.500
8 Ni 0.750 0.000 0.392

Main lines, by angle (15 to 90 degrees two-theta):
- 30.63°, intensity 100
- 33.43°, intensity 23
- 34.61°, intensity 31
- 37.81°, intensity 80
- 41.84°, intensity 26
- 43.17°, intensity 26
- 43.30°, intensity 25
- 44.55°, intensity 34
- 47.68°, intensity 19
- 63.77°, intensity 16



# 4
Diffraction record for Pm6InNi. The XRD peak list is calculated, not measured: it uses a DFT-relaxed cell (GGA-PBE, Alexandria) and Cu Kα X-rays.
Kinematic intensities with the Lorentz-polarization factor, no thermal factor.

Cell and atoms:
a b c (Å): 6.503 6.503 6.429
angles (deg): 99.73 99.73 104.04
Fractional coordinates of all 8 atoms:
1 Pm 0.078 0.690 0.714
2 Pm 0.277 0.277 0.860
3 Pm 0.310 0.922 0.286
4 Pm 0.690 0.078 0.714
5 Pm 0.723 0.723 0.140
6 Pm 0.922 0.310 0.286
7 In 0.500 0.500 0.500
8 Ni 0.000 0.000 0.000

Main lines, by angle (15 to 90 degrees two-theta):
- 22.53°, intensity 32
- 28.58°, intensity 42
- 29.40°, intensity 100
- 30.56°, intensity 75
- 33.56°, intensity 74
- 33.87°, intensity 32
- 35.08°, intensity 62
- 36.40°, intensity 31
- 50.68°, intensity 26
- 56.86°, intensity 27



# 5
Diffraction record for Pm4InNi2. The XRD peak list is calculated, not measured: it uses a DFT-relaxed cell (GGA-PBE, Alexandria) and Cu Kα X-rays.
Kinematic intensities with the Lorentz-polarization factor, no thermal factor.

Cell and atoms:
a b c (Å): 8.536 7.563 9.448
angles (deg): 59.00 49.42 71.58
Fractional coordinates of all 14 atoms:
1 Pm 0.029 0.971 0.818
2 Pm 0.068 0.432 0.279
3 Pm 0.146 0.509 0.700
4 Pm 0.432 0.068 0.221
5 Pm 0.509 0.146 0.645
6 Pm 0.550 0.605 0.104
7 Pm 0.605 0.550 0.741
8 Pm 0.971 0.029 0.182
9 In 0.664 0.664 0.336
10 In 0.914 0.914 0.586
11 Ni 0.289 0.289 0.461
12 Ni 0.289 0.289 0.961
13 Ni 0.289 0.789 0.961
14 Ni 0.789 0.289 0.961

Main lines, by angle (15 to 90 degrees two-theta):
- 19.08°, intensity 36
- 27.53°, intensity 58
- 29.45°, intensity 43
- 30.48°, intensity 70
- 31.22°, intensity 100
- 33.30°, intensity 79
- 37.81°, intensity 25
- 38.72°, intensity 27
- 38.93°, intensity 28
- 49.91°, intensity 28



# 6
Diffraction record for PmIn4Ni2. The XRD peak list is calculated, not measured: it uses a DFT-relaxed cell (GGA-PBE, Alexandria) and Cu Kα X-rays.
Kinematic intensities with the Lorentz-polarization factor, no thermal factor.

Cell and atoms:
a b c (Å): 18.294 4.477 7.023
angles (deg): 90.00 90.00 90.00
Fractional coordinates of all 28 atoms:
1 Pm 0.140 0.250 0.023
2 Pm 0.360 0.750 0.523
3 Pm 0.640 0.250 0.477
4 Pm 0.860 0.750 0.977
5 In 0.032 0.750 0.848
6 In 0.072 0.250 0.507
7 In 0.185 0.750 0.324
8 In 0.196 0.750 0.737
9 In 0.304 0.250 0.237
10 In 0.315 0.250 0.824
11 In 0.428 0.750 0.007
12 In 0.468 0.250 0.348
13 In 0.532 0.750 0.652
14 In 0.572 0.250 0.993
15 In 0.685 0.750 0.176
16 In 0.696 0.750 0.763
17 In 0.804 0.250 0.263
18 In 0.815 0.250 0.676
19 In 0.928 0.750 0.493
20 In 0.968 0.250 0.152
21 Ni 0.041 0.750 0.243
22 Ni 0.217 0.250 0.535
23 Ni 0.283 0.750 0.035
24 Ni 0.459 0.250 0.743
25 Ni 0.541 0.750 0.257
26 Ni 0.717 0.250 0.965
27 Ni 0.783 0.750 0.465
28 Ni 0.959 0.250 0.757

Main lines, by angle (15 to 90 degrees two-theta):
- 32.78°, intensity 19
- 33.89°, intensity 100
- 34.12°, intensity 65
- 35.63°, intensity 33
- 36.69°, intensity 28
- 40.29°, intensity 47
- 41.31°, intensity 19
- 44.24°, intensity 14
- 55.62°, intensity 16
- 64.14°, intensity 20